Li2Mn3O6: simulated X-ray powder pattern (Cu Kα, 1.54184 Å), based on a crystal structure in Alexandria, relaxed with GGA+U.
Lines closer than 0.1° are merged.

Top 12 peaks for 15 to 90 degrees two-theta, in order of rising 2θ:
- 17.56 deg, rel. 100, (0 0 2)
- 34.49 deg, rel. 11, (3 1 -1)
- 35.51 deg, rel. 12, (0 0 4)
- 36.43 deg, rel. 12, (0 2 1)
- 38.65 deg, rel. 15, (3 1 -3)
- 39.27 deg, rel. 12, (3 1 1)
- 43.58 deg, rel. 9, (3 1 -4)
- 44.42 deg, rel. 8, (3 1 2)
- 44.66 deg, rel. 16, (0 2 3)
- 49.87 deg, rel. 9, (3 1 -5)
- 50.89 deg, rel. 10, (3 1 3)
- 58.35 deg, rel. 11, (0 2 5)

Crystal structure
```
data_Li2Mn3O6
_cell_length_a 9.078
_cell_length_b 5.086
_cell_length_c 10.608
_cell_angle_alpha 90.00
_cell_angle_beta 107.81
_cell_angle_gamma 90.00
_space_group_name_H-M_alt 'C 1 c 1'
_space_group_IT_number 9
_space_group_name_Hall 'C -2yc'
loop_
_atom_site_label
_atom_site_type_symbol
_atom_site_fract_x
_atom_site_fract_y
_atom_site_fract_z
Li1 Li 0.000 0.003 0.000
Li2 Li 0.329 0.021 0.500
Mn1 Mn 0.083 0.351 0.249
Mn2 Mn 0.248 0.149 0.738
Mn3 Mn 0.412 0.350 0.238
O1 O 0.039 0.314 0.642
O2 O 0.102 0.027 0.351
O3 O 0.227 0.164 0.131
O4 O 0.289 0.481 0.837
O5 O 0.399 0.327 0.632
O6 O 0.432 0.043 0.349
```